V2P4H3O16: computed powder diffractogram (Cu Kα (λ = 1.5418 Å)), based on a DFT-relaxed cell (PBE+U, the Materials Project).
Lines closer than 0.1° are merged.

Most intense lines, 2θ = 10–90°, low angle first:
two_theta	intensity
16.45	66
16.80	48
22.57	46
22.92	43
24.27	100
25.28	43
25.75	39
26.36	30
29.87	82
33.97	27

Structural model:
```
V2P4H3O16
1.0
4.963 0.000 0.000
-1.556 7.159 0.000
-0.240 -0.169 7.997
V P H O
2 4 3 16
Direct
0.000 0.000 0.000
0.499 0.505 0.495
0.097 0.750 0.665
0.398 0.739 0.147
0.598 0.256 0.841
0.901 0.258 0.327
0.420 0.934 0.564
0.578 0.072 0.428
0.936 0.472 0.978
0.020 0.810 0.838
0.165 0.351 0.425
0.219 0.896 0.150
0.224 0.936 0.570
0.258 0.576 0.041
0.309 0.626 0.669
0.322 0.161 0.917
0.451 0.696 0.332
0.549 0.313 0.660
0.682 0.850 0.079
0.689 0.382 0.322
0.731 0.430 0.951
0.774 0.072 0.421
0.786 0.111 0.839
0.833 0.656 0.567
0.978 0.199 0.153
```


VP2H6O6: computed powder diffractogram (Cu Kα (λ = 1.5418 Å)), based on a DFT-relaxed cell (PBE+U, the Materials Project).
Lines closer than 0.1° are merged.

Most intense lines, 2θ = 10–90°, low angle first:
two_theta	intensity
15.88	100
21.74	43
24.46	13
25.75	12
26.63	21
27.47	31
30.66	44
35.13	10
37.24	10
42.79	11

Structural model:
```
VP2H6O6
1.0
6.097 -4.088 0.000
6.097 4.088 0.000
-4.116 0.000 6.494
V P H O
2 4 12 12
Direct
0.242 0.758 0.750
0.758 0.242 0.250
0.109 0.433 0.289
0.433 0.109 0.789
0.567 0.891 0.211
0.891 0.567 0.711
0.086 0.860 0.129
0.140 0.914 0.371
0.174 0.455 0.154
0.280 0.298 0.386
0.298 0.280 0.886
0.455 0.174 0.654
0.545 0.826 0.346
0.702 0.720 0.114
0.720 0.702 0.614
0.826 0.545 0.846
0.860 0.086 0.629
0.914 0.140 0.871
0.044 0.956 0.250
0.063 0.646 0.451
0.078 0.672 0.848
0.328 0.922 0.652
0.354 0.937 0.049
0.441 0.559 0.750
0.559 0.441 0.250
0.646 0.063 0.951
0.672 0.078 0.348
0.922 0.328 0.152
0.937 0.354 0.549
0.956 0.044 0.750
```